Na5B7C3: simulated X-ray diffraction stick pattern (λ = 1.5418 Å (Cu Kα)), based on DFT lattice parameters and positions (PBE).
Peak positions follow from Bragg's law for the DFT cell and can differ from measured ones.

Top 10 peaks for 2θ = 10–80°, low angle first:
2θ (°)	Rel. int.
34.8	12
36.4	17
40.7	24
40.9	24
42.0	38
42.2	100
63.4	16
66.6	8
78.9	8
79.2	8

Structural model:
```
Na5B7C3
1.0
8.972 -1.405 0.000
8.972 1.405 0.000
-5.314 0.000 12.362
Na B C
10 14 6
Direct
0.000 0.000 0.000 Na
0.000 0.000 0.500 Na
0.200 0.200 0.398 Na
0.201 0.201 0.902 Na
0.398 0.398 0.296 Na
0.399 0.399 0.804 Na
0.601 0.601 0.196 Na
0.602 0.602 0.704 Na
0.799 0.799 0.098 Na
0.800 0.800 0.602 Na
0.024 0.024 0.293 B
0.165 0.165 0.077 B
0.173 0.173 0.599 B
0.240 0.240 0.734 B
0.370 0.370 0.490 B
0.431 0.431 0.109 B
0.433 0.433 0.619 B
0.567 0.567 0.381 B
0.569 0.569 0.891 B
0.630 0.630 0.510 B
0.760 0.760 0.266 B
0.827 0.827 0.401 B
0.835 0.835 0.923 B
0.976 0.976 0.707 B
0.037 0.037 0.827 C
0.229 0.229 0.202 C
0.367 0.367 0.985 C
0.633 0.633 0.015 C
0.771 0.771 0.798 C
0.963 0.963 0.173 C
```